# 1
This entry pairs a crystal structure of BaTiTcO6 with its computed PXRD pattern. Radiation: Cu Kα X-rays. Structure: a crystal structure in Alexandria, relaxed with GGA-PBE.
No peak broadening, texture or thermal motion is included.

Principal peaks in the range 10° ≤ 2θ ≤ 90°, by intensity:
2θ/deg	d [Å]	I/Imax
24.97	3.566	100
46.89	1.938	38
34.06	2.632	27
55.71	1.650	20
42.69	2.118	18
51.95	1.760	10
63.59	1.463	9
60.97	1.520	9
77.27	1.235	9
31.25	2.862	8

Crystal structure
Cell lengths 5.2643, 5.2643, 11.4499 Å; angles 90.00, 90.00, 120.00 degrees
Fractional coordinates of all 18 atoms:
Ba (0.0000, 0.0000, 0.0000)
Ba (0.0000, 0.0000, 0.5000)
Ti (0.3333, 0.6667, 0.2500)
Ti (0.6667, 0.3333, 0.7500)
Tc (0.3333, 0.6667, 0.7500)
Tc (0.6667, 0.3333, 0.2500)
O (0.0052, 0.4050, 0.6526)
O (0.0052, 0.6002, 0.8474)
O (0.3998, 0.4050, 0.8474)
O (0.3998, 0.9948, 0.6526)
O (0.4050, 0.0052, 0.1526)
O (0.4050, 0.3998, 0.3474)
O (0.5950, 0.6002, 0.6526)
O (0.5950, 0.9948, 0.8474)
O (0.6002, 0.0052, 0.3474)
O (0.6002, 0.5950, 0.1526)
O (0.9948, 0.3998, 0.1526)
O (0.9948, 0.5950, 0.3474)

# 2
This entry pairs a crystal structure of BaTlTcO4 with its computed PXRD pattern. Radiation: Cu Kα X-rays. Structure: a crystal structure in Alexandria, relaxed with GGA-PBE.
No peak broadening, texture or thermal motion is included.

Principal peaks in the range 10° ≤ 2θ ≤ 90°, by intensity:
2θ/deg	d [Å]	I/Imax
27.52	3.241	100
13.84	6.397	83
31.52	2.838	57
29.04	3.074	50
20.02	4.435	39
40.70	2.217	35
27.88	3.200	33
26.01	3.425	28
37.74	2.384	20
32.31	2.771	19

Crystal structure
Cell lengths 7.0495, 6.1489, 8.3962 Å; angles 90.00, 114.72, 90.00 degrees
Fractional coordinates of all 14 atoms:
Ba (0.2359, 0.2500, 0.1191)
Ba (0.7641, 0.7500, 0.8809)
Tl (0.1543, 0.2500, 0.6349)
Tl (0.8457, 0.7500, 0.3651)
Tc (0.2601, 0.7500, 0.8637)
Tc (0.7399, 0.2500, 0.1363)
O (0.0729, 0.5199, 0.8429)
O (0.0729, 0.9801, 0.8429)
O (0.3435, 0.7500, 0.6863)
O (0.4823, 0.7500, 0.0775)
O (0.5177, 0.2500, 0.9225)
O (0.6565, 0.2500, 0.3137)
O (0.9271, 0.0199, 0.1571)
O (0.9271, 0.4801, 0.1571)

# 3
This entry pairs a crystal structure of Ba2Tl2TcO6 with its computed PXRD pattern. Radiation: Cu Kα X-rays. Structure: a crystal structure in Alexandria, relaxed with GGA-PBE.
No peak broadening, texture or thermal motion is included.

Principal peaks in the range 10° ≤ 2θ ≤ 90°, by intensity:
2θ/deg	d [Å]	I/Imax
33.20	2.699	100
29.89	2.990	93
28.09	3.176	55
16.09	5.509	52
28.83	3.096	51
49.52	1.841	46
35.05	2.560	45
48.56	1.875	39
19.10	4.646	33
58.30	1.583	22

Crystal structure
Cell lengths 6.4241, 6.4241, 6.3958 Å; angles 97.34, 97.34, 118.58 degrees
Fractional coordinates of all 11 atoms:
Ba (0.1635, 0.8365, 0.0000)
Ba (0.8365, 0.1635, 0.0000)
Tl (0.3482, 0.6518, 0.5000)
Tl (0.6518, 0.3482, 0.5000)
Tc (0.5000, 0.5000, 0.0000)
O (0.2007, 0.4529, 0.8352)
O (0.3134, 0.3134, 0.2129)
O (0.4529, 0.2007, 0.8352)
O (0.5471, 0.7993, 0.1648)
O (0.6866, 0.6866, 0.7871)
O (0.7993, 0.5471, 0.1648)

# 4
This entry pairs a crystal structure of Ba2UTcO6 with its computed PXRD pattern. Radiation: Cu Kα X-rays. Structure: a crystal structure in Alexandria, relaxed with GGA-PBE.
No peak broadening, texture or thermal motion is included.

Principal peaks in the range 10° ≤ 2θ ≤ 90°, by intensity:
2θ/deg	d [Å]	I/Imax
29.79	2.999	100
52.88	1.731	41
42.64	2.120	29
85.72	1.133	22
70.18	1.341	18
61.88	1.499	18
18.12	4.897	10
35.09	2.557	7
78.06	1.224	6
20.95	4.241	4

Crystal structure
Cell lengths 5.9974, 5.9974, 5.9974 Å; angles 60.00, 60.00, 60.00 degrees
Fractional coordinates of all 10 atoms:
Ba (0.2500, 0.2500, 0.2500)
Ba (0.7500, 0.7500, 0.7500)
U (0.0000, 0.0000, 0.0000)
Tc (0.5000, 0.5000, 0.5000)
O (0.2553, 0.2553, 0.7447)
O (0.2553, 0.7447, 0.2553)
O (0.2553, 0.7447, 0.7447)
O (0.7447, 0.2553, 0.2553)
O (0.7447, 0.2553, 0.7447)
O (0.7447, 0.7447, 0.2553)

# 5
This entry pairs a crystal structure of BaUTc2O8 with its computed PXRD pattern. Radiation: Cu Kα X-rays. Structure: a crystal structure in Alexandria, relaxed with GGA-PBE.
No peak broadening, texture or thermal motion is included.

Principal peaks in the range 10° ≤ 2θ ≤ 90°, by intensity:
2θ/deg	d [Å]	I/Imax
29.40	3.038	100
30.23	2.956	82
20.96	4.238	75
17.32	5.120	66
42.67	2.119	48
53.19	1.722	41
57.97	1.591	24
70.90	1.329	18
53.70	1.707	16
48.56	1.875	16

Crystal structure
Cell lengths 5.9123, 5.9123, 7.5494 Å; angles 90.00, 90.00, 120.00 degrees
Fractional coordinates of all 12 atoms:
Ba (0.0000, 0.0000, 0.0000)
U (0.0000, 0.0000, 0.5000)
Tc (0.3333, 0.6667, 0.7768)
Tc (0.6667, 0.3333, 0.2232)
O (0.1622, 0.3245, 0.6871)
O (0.1622, 0.8378, 0.6871)
O (0.3245, 0.1622, 0.3129)
O (0.3333, 0.6667, 0.0116)
O (0.6667, 0.3333, 0.9884)
O (0.6755, 0.8378, 0.6871)
O (0.8378, 0.1622, 0.3129)
O (0.8378, 0.6755, 0.3129)

# 6
This entry pairs a crystal structure of Ba2UTcO8 with its computed PXRD pattern. Radiation: Cu Kα X-rays. Structure: a crystal structure in Alexandria, relaxed with GGA-PBE.
No peak broadening, texture or thermal motion is included.

Principal peaks in the range 10° ≤ 2θ ≤ 90°, by intensity:
2θ/deg	d [Å]	I/Imax
25.64	3.475	100
19.54	4.544	87
17.80	4.983	87
14.91	5.940	65
22.34	3.979	64
30.16	2.964	64
28.79	3.101	58
30.79	2.904	55
30.87	2.897	55
23.17	3.839	53

Crystal structure
Cell lengths 6.0023, 6.4676, 6.5145 Å; angles 76.46, 67.61, 77.08 degrees
Fractional coordinates of all 12 atoms:
Ba (0.1131, 0.1804, 0.1665)
Ba (0.8869, 0.8196, 0.8335)
U (0.5000, 0.5000, 0.5000)
Tc (0.5000, 0.0000, 0.5000)
O (0.2612, 0.4807, 0.8001)
O (0.2907, 0.9838, 0.7919)
O (0.2967, 0.8307, 0.4324)
O (0.3195, 0.2906, 0.4194)
O (0.6805, 0.7094, 0.5806)
O (0.7033, 0.1693, 0.5676)
O (0.7093, 0.0162, 0.2081)
O (0.7388, 0.5193, 0.1999)

# 7
This entry pairs a crystal structure of BaZrTc2O8 with its computed PXRD pattern. Radiation: Cu Kα X-rays. Structure: a crystal structure in Alexandria, relaxed with GGA-PBE.
No peak broadening, texture or thermal motion is included.

Principal peaks in the range 10° ≤ 2θ ≤ 90°, by intensity:
2θ/deg	d [Å]	I/Imax
21.19	4.194	100
30.42	2.938	90
29.85	2.993	90
43.14	2.097	45
53.70	1.707	37
17.42	5.089	32
59.00	1.566	30
48.92	1.862	21
54.06	1.696	17
63.30	1.469	16

Crystal structure
Cell lengths 5.8768, 5.8768, 7.4008 Å; angles 90.00, 90.00, 120.00 degrees
Fractional coordinates of all 12 atoms:
Ba (0.0000, 0.0000, 0.0000)
Zr (0.0000, 0.0000, 0.5000)
Tc (0.3333, 0.6667, 0.7587)
Tc (0.6667, 0.3333, 0.2413)
O (0.1550, 0.3200, 0.6807)
O (0.1650, 0.8450, 0.6807)
O (0.3200, 0.1650, 0.3193)
O (0.3333, 0.6667, 0.9994)
O (0.6667, 0.3333, 0.0006)
O (0.6800, 0.8350, 0.6807)
O (0.8350, 0.1550, 0.3193)
O (0.8450, 0.6800, 0.3193)

# 8
This entry pairs a crystal structure of Ba5Te2O12 with its computed PXRD pattern. Radiation: Cu Kα X-rays. Structure: a crystal structure in Alexandria, relaxed with GGA-PBE.
No peak broadening, texture or thermal motion is included.

Principal peaks in the range 10° ≤ 2θ ≤ 90°, by intensity:
2θ/deg	d [Å]	I/Imax
27.89	3.199	100
28.01	3.186	54
26.82	3.324	38
29.36	3.042	34
35.15	2.553	26
21.90	4.058	24
13.89	6.375	24
44.67	2.029	22
31.20	2.867	21
34.38	2.609	20

Crystal structure
Cell lengths 7.4617, 7.6257, 7.6982 Å; angles 119.07, 92.89, 114.86 degrees
Fractional coordinates of all 19 atoms:
Ba (0.0000, 0.0000, 0.0000)
Ba (0.2678, 0.2420, 0.5264)
Ba (0.3319, 0.7282, 0.0337)
Ba (0.6681, 0.2718, 0.9663)
Ba (0.7322, 0.7580, 0.4736)
Te (0.2075, 0.6995, 0.4939)
Te (0.7925, 0.3005, 0.5061)
O (0.0898, 0.7645, 0.2860)
O (0.1089, 0.5324, 0.6427)
O (0.1914, 0.9676, 0.7133)
O (0.2524, 0.4549, 0.2808)
O (0.4652, 0.8786, 0.4276)
O (0.4767, 0.8156, 0.7240)
O (0.5233, 0.1844, 0.2760)
O (0.5348, 0.1214, 0.5724)
O (0.7476, 0.5451, 0.7192)
O (0.8086, 0.0324, 0.2867)
O (0.8911, 0.4676, 0.3573)
O (0.9102, 0.2355, 0.7140)